Entry 1:
Theoretical XRD peak list of CeGeAu for Cu Kα, from a DFT-relaxed cell (GGA-PBE, the Materials Project).
Neutral-atom scattering factors, no anomalous dispersion.

Structure:
Cell lengths 7.376, 4.525, 7.947 Å; angles 90.00, 90.00, 90.00 degrees
Space group Pnma (No. 62)
Asymmetric unit:
Ce1 0.003 0.250 0.205
Ge1 0.215 0.750 0.404
Au1 0.190 0.250 0.577

Most intense lines, 2θ = 15–90°, low angle first:
2θ/deg	I_rel	index
25.67	338	1 1 1
32.35	424	1 1 2
33.14	436	2 0 2
33.31	1000	2 1 1
39.42	724	0 1 3
39.84	456	0 2 0

Entry 2:
Theoretical XRD peak list of Nd2Ta6O19 for Cu Kα, from a DFT-relaxed cell (GGA-PBE, the Materials Project).
Neutral-atom scattering factors, no anomalous dispersion.

Structure:
Cell lengths 6.4631, 6.4631, 20.5777 Å; angles 90.00, 90.00, 120.00 degrees
Space group P6_3/mcm (No. 193)
Asymmetric unit:
Nd1 0.3333 0.6667 0.0000
Ta1 0.0000 0.3453 0.1567
O1 0.0000 0.2322 0.6568
O2 0.0000 0.4021 0.2500
O3 0.0000 0.4043 0.0642
O4 0.3333 0.6667 0.1569

Most intense lines, 2θ = 15–90°, low angle first:
2θ/deg	I_rel	index
25.98	570	0 0 6
27.95	1000	1 1 1
32.73	408	1 1 4
35.31	496	1 1 5
48.81	471	3 0 0
56.12	396	3 0 6

Entry 3:
Theoretical XRD peak list of NaTiSi2O6 for Cu Kα, from a DFT-relaxed cell (GGA-PBE, the Materials Project).
Neutral-atom scattering factors, no anomalous dispersion.

Structure:
Cell lengths 5.315, 6.651, 6.654 Å; angles 83.55, 77.90, 77.96 degrees
Space group P-1 (No. 2)
Asymmetric unit:
Na1 0.247 0.195 0.300
Ti1 0.251 0.589 0.912
Si1 0.241 0.115 0.799
Si2 0.259 0.699 0.386
O1 0.016 0.142 0.654
O2 0.150 0.295 0.964
O3 0.196 0.608 0.622
O4 0.306 0.879 0.892
O5 0.348 0.534 0.206
O6 0.485 0.843 0.359

Most intense lines, 2θ = 15–90°, low angle first:
2θ/deg	I_rel	index
20.01	313	0 1 -1
29.68	1000	1 2 0
29.89	479	0 1 2
35.19	437	2 0 0
35.51	373	1 -2 0
56.03	347	1 1 4

Entry 4:
Theoretical XRD peak list of Ba2Bi3O7 for Cu Kα, from a DFT-relaxed cell (GGA-PBE, the Materials Project).
Neutral-atom scattering factors, no anomalous dispersion.

Structure:
Cell lengths 4.371, 12.359, 4.392 Å; angles 90.00, 90.00, 90.00 degrees
Space group Pmm2 (No. 25)
Asymmetric unit:
Ba1 0.000 0.207 0.000
Bi1 0.500 0.000 0.493
Bi2 0.500 0.364 0.493
O1 0.000 0.000 0.315
O2 0.000 0.338 0.490
O3 0.500 0.182 0.499
O4 0.500 0.336 0.992

Most intense lines, 2θ = 15–90°, low angle first:
2θ/deg	I_rel	index
24.91	380	0 2 1
28.82	774	1 0 1
29.77	1000	0 3 1
47.04	326	1 5 1
51.59	233	1 3 2
51.73	253	2 3 1

Entry 5:
Theoretical XRD peak list of BeH4NF3 for Cu Kα, from a DFT-relaxed cell (GGA-PBE, the Materials Project).
Neutral-atom scattering factors, no anomalous dispersion.

Structure:
Cell lengths 5.830, 4.487, 14.227 Å; angles 90.00, 113.77, 90.00 degrees
Space group Pc (No. 7)
Asymmetric unit:
Be1 0.000 0.180 0.000
Be2 0.088 0.318 0.640
H1 0.351 0.082 0.442
H2 0.358 0.470 0.442
H3 0.381 0.272 0.346
H4 0.484 0.234 0.183
H5 0.619 0.268 0.460
H6 0.717 0.229 0.299
H7 0.749 0.041 0.203
H8 0.751 0.429 0.204
N1 0.427 0.273 0.423
N2 0.676 0.234 0.222
F1 0.006 0.168 0.528
F2 0.086 0.334 0.111
F3 0.214 0.227 0.962
F4 0.343 0.239 0.716
F5 0.739 0.256 0.927
F6 0.868 0.268 0.674

Most intense lines, 2θ = 15–90°, low angle first:
2θ/deg	I_rel	index
16.68	877	1 0 -2
25.50	604	1 0 2
27.40	672	0 0 4
37.49	1000	2 1 -3
40.20	531	0 2 0
42.32	580	2 1 1

Number 1 is which compound?
CeGeAu